No. 1
# UAl10Ir2
Computed powder diffractogram, Cu Ka. Input: a crystal structure in Alexandria, relaxed with GGA-PBE.
Intensities are scaled so that the largest is 100.

Structural model:
```
data_UAl10Ir2
_symmetry_space_group_name_H-M 'C m c m'
_symmetry_Int_Tables_number 63
_symmetry_space_group_name_Hall '-C 2c 2'
_cell_length_a 9.0113
_cell_length_b 10.2975
_cell_length_c 9.1517
_cell_angle_alpha 90.00
_cell_angle_beta 90.00
_cell_angle_gamma 90.00
loop_
_atom_site_label
_atom_site_fract_x
_atom_site_fract_y
_atom_site_fract_z
U1 0.0000 0.1199 0.2500
Al1 0.0000 0.1564 0.6025
Al2 0.0000 0.3792 0.0564
Al3 0.1486 0.3726 0.7500
Al4 0.2154 0.0000 0.0000
Al5 0.2293 0.3694 0.2500
Ir1 0.2500 0.2500 0.0000
```

Most intense lines, 10 to 80 degrees two-theta, low angle first:
2θ (°)  d [Å]  Rel. int.  h k l
13.06  6.781  36  1 1 0
16.27  5.449  34  1 1 1
17.22  5.149  58  0 2 0
26.05  3.420  45  0 2 2
26.28  3.391  42  2 2 0
27.79  3.210  100  2 0 2
32.88  2.724  42  2 2 2
39.38  2.288  36  0 0 4
40.02  2.253  37  4 0 0
40.19  2.244  66  0 4 2
40.35  2.235  59  2 4 0
58.02  1.590  35  4 4 2

***

No. 2
# CaHo2SnN4
Computed powder diffractogram, Cu Ka. Input: a crystal structure in Alexandria, relaxed with GGA-PBE.
Intensities are scaled so that the largest is 100.

Structural model:
```
data_CaHo2SnN4
_symmetry_space_group_name_H-M 'C m c m'
_symmetry_Int_Tables_number 63
_symmetry_space_group_name_Hall '-C 2c 2'
_cell_length_a 3.4301
_cell_length_b 11.8876
_cell_length_c 12.1760
_cell_angle_alpha 90.00
_cell_angle_beta 90.00
_cell_angle_gamma 90.00
loop_
_atom_site_label
_atom_site_fract_x
_atom_site_fract_y
_atom_site_fract_z
Ca1 0.0000 0.1181 0.2500
Ho1 0.0000 0.3703 0.0281
Sn1 0.0000 0.1464 0.7500
N1 0.0000 0.0000 0.0000
N2 0.0000 0.2550 0.6180
N3 0.0000 0.4574 0.2500
```

Most intense lines, 10 to 80 degrees two-theta, low angle first:
2θ (°)  d [Å]  Rel. int.  h k l
14.55  6.088  33  0 0 2
16.60  5.341  45  0 2 1
29.34  3.044  53  0 0 4
30.07  2.972  51  0 4 0
30.85  2.898  90  1 1 2
37.70  2.386  100  1 3 2
40.01  2.253  30  0 2 5
42.51  2.126  36  0 4 4
60.17  1.538  23  1 1 7
62.52  1.486  21  0 8 0
62.96  1.476  24  1 7 2
70.54  1.335  21  2 4 4

***

No. 3
# Hf3Ni8Ge2
Computed powder diffractogram, Cu Ka. Input: a crystal structure in Alexandria, relaxed with GGA-PBE.
Intensities are scaled so that the largest is 100.

Structural model:
```
data_Hf3Ni8Ge2
_symmetry_space_group_name_H-M 'R -3 m'
_symmetry_Int_Tables_number 166
_symmetry_space_group_name_Hall '-R 3 2"'
_cell_length_a 4.8242
_cell_length_b 4.8242
_cell_length_c 27.7415
_cell_angle_alpha 90.00
_cell_angle_beta 90.00
_cell_angle_gamma 120.00
loop_
_atom_site_label
_atom_site_fract_x
_atom_site_fract_y
_atom_site_fract_z
Hf1 0.0000 0.0000 0.0000
Hf2 0.0000 0.0000 0.1910
Ni1 0.0000 0.0000 0.2837
Ni2 0.0086 0.5043 0.7673
Ge1 0.0000 0.0000 0.3672
```

Most intense lines, 10 to 80 degrees two-theta, low angle first:
2θ (°)  d [Å]  Rel. int.  h k l
21.51  4.131  24  1 0 1
26.71  3.337  75  0 1 5
37.28  2.412  93  1 1 0
38.97  2.311  53  1 0 10
41.84  2.159  100  0 1 11
42.26  2.139  71  1 1 6
43.83  2.066  45  2 0 2
45.34  2.000  28  0 2 4
46.45  1.955  50  2 0 5
70.34  1.338  40  1 2 11
70.63  1.334  21  3 0 6
79.46  1.206  33  2 2 0

***

No. 4
# Na2PmSnCl8
Computed powder diffractogram, Cu Ka. Input: a crystal structure in Alexandria, relaxed with GGA-PBE.
Intensities are scaled so that the largest is 100.

Structural model:
```
data_Na2PmSnCl8
_symmetry_space_group_name_H-M 'P 1 2/m 1'
_symmetry_Int_Tables_number 10
_cell_length_a 6.4806
_cell_length_b 8.3269
_cell_length_c 6.6271
_cell_angle_alpha 90.00
_cell_angle_beta 94.35
_cell_angle_gamma 90.00
loop_
_symmetry_equiv_pos_as_xyz
'x,y,z'
'-x,-y,-z'
'-x,y,-z'
'x,-y,z'
loop_
_atom_site_label
_atom_site_fract_x
_atom_site_fract_y
_atom_site_fract_z
Na1 0.0000 0.2497 0.0000
Pm1 0.5000 0.0000 0.5000
Sn1 0.5000 0.5000 0.5000
Cl1 0.2196 0.0000 0.1822
Cl2 0.2242 0.5000 0.1951
Cl3 0.2974 0.2558 0.6673
```

Most intense lines, 10 to 80 degrees two-theta, low angle first:
2θ (°)  d [Å]  Rel. int.  h k l
13.40  6.608  75  0 0 1
13.70  6.462  71  1 0 0
18.46  4.806  87  1 0 -1
19.93  4.454  63  1 0 1
25.45  3.500  37  1 2 0
28.36  3.147  100  1 2 -1
31.33  2.855  34  1 0 2
36.63  2.453  33  1 2 -2
36.99  2.430  46  2 2 -1
43.48  2.081  44  0 4 0
46.65  1.947  39  0 2 3
47.55  1.912  41  3 2 0

***

No. 5
# Nd4As6Rh7
Computed powder diffractogram, Cu Ka. Input: a crystal structure in Alexandria, relaxed with GGA-PBE.
Intensities are scaled so that the largest is 100.

Structural model:
```
data_Nd4As6Rh7
_symmetry_space_group_name_H-M 'I m -3 m'
_symmetry_Int_Tables_number 229
_symmetry_space_group_name_Hall '-I 4 2 3'
_cell_length_a 8.5638
_cell_length_b 8.5638
_cell_length_c 8.5638
_cell_angle_alpha 90.00
_cell_angle_beta 90.00
_cell_angle_gamma 90.00
loop_
_atom_site_label
_atom_site_fract_x
_atom_site_fract_y
_atom_site_fract_z
Nd1 0.2500 0.2500 0.2500
As1 0.0000 0.0000 0.3236
Rh1 0.0000 0.0000 0.0000
Rh2 0.0000 0.2500 0.5000
```

Most intense lines, 10 to 80 degrees two-theta, low angle first:
2θ (°)  d [Å]  Rel. int.  h k l
14.63  6.056  6  1 1 0
29.50  3.028  26  2 2 0
36.34  2.472  100  2 2 2
39.37  2.289  24  3 2 1
42.21  2.141  64  4 0 0
44.91  2.019  12  3 3 0
49.95  1.826  17  3 3 2
61.23  1.514  32  4 4 0
69.41  1.354  11  6 2 0
73.33  1.291  26  6 2 2
75.26  1.263  11  6 3 1
77.17  1.236  8  4 4 4

***

No. 6
# Y3Ga5Cu6
Computed powder diffractogram, Cu Ka. Input: a crystal structure in Alexandria, relaxed with GGA-PBE.
Intensities are scaled so that the largest is 100.

Structural model:
```
data_Y3Ga5Cu6
_symmetry_space_group_name_H-M 'P m m n'
_symmetry_Int_Tables_number 59
_cell_length_a 4.1862
_cell_length_b 12.5575
_cell_length_c 9.0432
_cell_angle_alpha 90.00
_cell_angle_beta 90.00
_cell_angle_gamma 90.00
loop_
_symmetry_equiv_pos_as_xyz
'x,y,z'
'-x,-y,-z'
'-x+1/2,-y+1/2,z'
'x+1/2,y+1/2,-z'
'x+1/2,-y,-z'
'-x+1/2,y,z'
'-x,y+1/2,-z'
'x,-y+1/2,z'
loop_
_atom_site_label
_atom_site_fract_x
_atom_site_fract_y
_atom_site_fract_z
Y1 0.2500 0.0560 0.2469
Y2 0.2500 0.7500 0.2636
Ga1 0.2500 0.0815 0.6051
Ga2 0.2500 0.6172 0.9807
Ga3 0.2500 0.7500 0.7430
Cu1 0.2500 0.0845 0.8824
Cu2 0.2500 0.2500 0.0421
Cu3 0.2500 0.2500 0.4517
Cu4 0.2500 0.6185 0.5309
```

Most intense lines, 10 to 80 degrees two-theta, low angle first:
2θ (°)  d [Å]  Rel. int.  h k l
30.19  2.960  13  1 3 0
34.79  2.579  21  0 4 2
36.27  2.477  100  1 3 2
36.74  2.446  52  1 0 3
37.15  2.420  13  1 4 1
39.54  2.279  28  1 2 3
41.95  2.154  18  1 5 0
43.22  2.093  70  2 0 0
46.20  1.965  14  1 1 4
47.10  1.930  16  1 4 3
57.99  1.590  17  2 3 3
62.78  1.480  15  2 6 0